(1)
For VTe4, a crystal structure in Alexandria, relaxed with PBE gives the theoretical PXRD pattern in this record (Cu Kα, 1.54184 Å).
Peak positions follow from Bragg's law for the DFT cell and can differ from measured ones.

Largest 10 diffraction maxima, in order of rising 2θ, 2θ from 10° to 90°:
| (hkl) | Position (°2θ) | I/Imax |
| --- | --- | --- |
| 0 0 1 | 11.6 | 34 |
| 0 0 2 | 23.3 | 38 |
| 1 1 2 | 30.8 | 14 |
| 2 1 1 | 33.9 | 100 |
| 2 0 2 | 36.9 | 19 |
| 2 1 2 | 39.7 | 14 |
| 3 1 0 | 45.4 | 15 |
| 2 1 3 | 48.1 | 23 |
| 2 1 4 | 58.3 | 14 |
| 4 1 1 | 61.8 | 15 |

Cell and atoms:
```
VTe4
1.0
6.3112 0.0000 0.0000
0.0000 6.3112 0.0000
0.0000 0.0000 7.6501
V Te
2 8
Direct
0.2500 0.2500 0.0000
0.7500 0.7500 0.0000
0.0870 0.5870 0.2129
0.0870 0.9130 0.7871
0.4130 0.5870 0.7871
0.4130 0.9130 0.2129
0.5870 0.0870 0.7871
0.5870 0.4130 0.2129
0.9130 0.0870 0.2129
0.9130 0.4130 0.7871
```

---

(2)
For Li7Hg2Bi, a crystal structure in Alexandria, relaxed with PBE gives the theoretical PXRD pattern in this record (Cu Kα, 1.54184 Å).
Peak positions follow from Bragg's law for the DFT cell and can differ from measured ones.

Largest 10 diffraction maxima, in order of rising 2θ, 2θ from 10° to 90°:
| (hkl) | Position (°2θ) | I/Imax |
| --- | --- | --- |
| 1 0 1 | 23.4 | 100 |
| 0 0 3 | 25.7 | 22 |
| 0 1 2 | 27.8 | 62 |
| 1 1 0 | 38.1 | 34 |
| 1 0 4 | 41.1 | 24 |
| 0 2 1 | 45.2 | 18 |
| 1 1 3 | 46.5 | 28 |
| 2 0 2 | 47.8 | 15 |
| 2 1 1 | 60.6 | 15 |
| 1 2 2 | 62.7 | 13 |

Cell and atoms:
```
Li7Hg2Bi
1.0
4.7186 0.0000 0.0000
-2.3593 4.0865 0.0000
0.0000 0.0000 10.4137
Li Hg Bi
7 2 1
Direct
0.0000 0.0000 0.0000
0.0000 0.0000 0.2406
0.0000 0.0000 0.7389
0.3333 0.6667 0.4235
0.3333 0.6667 0.8380
0.6667 0.3333 0.2407
0.6667 0.3333 0.5860
0.0000 0.0000 0.4884
0.6667 0.3333 0.8601
0.3333 0.6667 0.1322
```

---

(3)
For TaCr2Re, a crystal structure in Alexandria, relaxed with PBE gives the theoretical PXRD pattern in this record (Cu Kα, 1.54184 Å).
Peak positions follow from Bragg's law for the DFT cell and can differ from measured ones.

Largest 10 diffraction maxima, in order of rising 2θ, 2θ from 10° to 90°:
| (hkl) | Position (°2θ) | I/Imax |
| --- | --- | --- |
| 0 1 0 | 21.1 | 82 |
| 1 0 -1 | 35.4 | 23 |
| 0 0 2 | 35.8 | 22 |
| 1 0 1 | 41.2 | 51 |
| 1 1 -1 | 41.6 | 100 |
| 0 1 2 | 41.9 | 98 |
| 0 2 0 | 42.9 | 46 |
| 1 1 1 | 46.7 | 22 |
| 1 2 1 | 61.0 | 32 |
| 1 1 3 | 75.8 | 25 |

Cell and atoms:
```
TaCr2Re
1.0
2.6915 0.0000 0.0000
0.0000 4.2185 0.0000
-0.8887 0.0000 5.0203
Ta Cr Re
1 2 1
Direct
0.0000 0.0000 0.0000
0.2466 0.5000 0.7398
0.7534 0.5000 0.2602
0.5000 0.0000 0.5000
```